The following is a computed powder XRD pattern of Na4Pu3HgS8. It was derived from a structure optimized by DFT (PBE), using copper Kα.
Peak positions follow from Bragg's law for the DFT cell and can differ from measured ones.

Principal peaks in the range 10° ≤ 2θ ≤ 80°, low angle first:
d [Å]	intensity
6.654	100
3.462	20
3.421	38
3.327	15
3.286	29
2.883	32
2.846	62
2.627	17
2.031	23
2.020	23

Crystal structure
Cell lengths 14.040, 7.997, 8.102 Å; angles 90.00, 124.78, 90.00 degrees
Space group C2/m (No. 12)
Asymmetric unit:
Na (0.000, 0.000, 0.000) (multiplicity 2)
Na (0.000, 0.500, 0.000) (multiplicity 2)
Na (0.250, 0.250, 0.000) (multiplicity 4)
Pu (0.000, 0.000, 0.500) (multiplicity 2)
Pu (0.250, 0.250, 0.500) (multiplicity 4)
Hg (0.000, 0.500, 0.500) (multiplicity 2)
S (0.009, 0.248, 0.272) (multiplicity 8)
S (0.242, 0.000, 0.726) (multiplicity 4)
S (0.247, 0.000, 0.268) (multiplicity 4)

---

The following is a computed powder XRD pattern of RbMn2Cl8. It was derived from a structure optimized by DFT (PBE), using copper Kα.
Peak positions follow from Bragg's law for the DFT cell and can differ from measured ones.

Principal peaks in the range 10° ≤ 2θ ≤ 80°, low angle first:
d [Å]	intensity
7.284	37
5.201	42
4.922	49
4.688	98
4.301	100
3.651	36
3.455	36
3.333	38
3.116	35
3.035	68

Crystal structure
Cell lengths 7.433, 7.542, 7.605 Å; angles 69.40, 82.64, 79.13 degrees
Space group P-1 (No. 2)
Asymmetric unit:
Rb (0.000, 0.000, 0.000) (multiplicity 1)
Mn (0.224, 0.312, 0.304) (multiplicity 2)
Cl (0.056, 0.732, 0.700) (multiplicity 2)
Cl (0.269, 0.225, 0.601) (multiplicity 2)
Cl (0.313, 0.590, 0.213) (multiplicity 2)
Cl (0.356, 0.176, 0.102) (multiplicity 2)

---

The following is a computed powder XRD pattern of Nd2Sn4Rh. It was derived from a structure optimized by DFT (PBE), using copper Kα.
Peak positions follow from Bragg's law for the DFT cell and can differ from measured ones.

Principal peaks in the range 10° ≤ 2θ ≤ 80°, low angle first:
d [Å]	intensity
2.906	12
2.828	100
2.776	13
2.452	19
2.373	13
2.293	24
2.285	24
1.619	17
1.407	18
1.403	12

Crystal structure
Cell lengths 4.571, 4.586, 17.436 Å; angles 90.00, 90.00, 90.00 degrees
Space group Amm2 (No. 38)
Asymmetric unit:
Nd (0.000, 0.000, 0.000) (multiplicity 2)
Nd (0.500, 0.000, 0.209) (multiplicity 2)
Sn (0.000, 0.000, 0.344) (multiplicity 2)
Sn (0.000, 0.000, 0.675) (multiplicity 2)
Sn (0.500, 0.000, 0.564) (multiplicity 2)
Sn (0.500, 0.000, 0.844) (multiplicity 2)
Rh (0.500, 0.000, 0.416) (multiplicity 2)

---

The following is a computed powder XRD pattern of Hg3SbAsS3. It was derived from a structure optimized by DFT (PBE), using copper Kα.
Peak positions follow from Bragg's law for the DFT cell and can differ from measured ones.

Principal peaks in the range 10° ≤ 2θ ≤ 80°, low angle first:
d [Å]	intensity
3.621	90
3.472	18
3.391	39
3.300	35
3.017	100
2.993	64
2.149	31
2.102	29
2.017	18
1.810	16

Crystal structure
Cell lengths 11.978, 4.548, 19.813 Å; angles 90.00, 125.49, 90.00 degrees
Space group P2_1/c (No. 14)
Asymmetric unit:
Hg (0.057, 0.231, 0.422) (multiplicity 4)
Hg (0.211, 0.726, 0.312) (multiplicity 4)
Hg (0.298, 0.109, 0.677) (multiplicity 4)
Sb (0.402, 0.686, 0.547) (multiplicity 4)
As (0.102, 0.136, 0.693) (multiplicity 4)
S (0.182, 0.603, 0.532) (multiplicity 4)
S (0.311, 0.060, 0.430) (multiplicity 4)
S (0.488, 0.035, 0.664) (multiplicity 4)

---

The following is a computed powder XRD pattern of Cs9Rb6Na. It was derived from a structure optimized by DFT (PBE), using copper Kα.
Peak positions follow from Bragg's law for the DFT cell and can differ from measured ones.

Principal peaks in the range 10° ≤ 2θ ≤ 80°, low angle first:
d [Å]	intensity
4.377	100
3.857	38
3.667	16
2.727	16
2.658	26
2.315	31
2.231	14
2.188	13
1.726	16
1.561	8

Crystal structure
Cell lengths 12.196, 12.196, 22.004 Å; angles 90.00, 90.00, 90.00 degrees
Space group I4/m (No. 87)
Asymmetric unit:
Cs (0.000, 0.000, 0.000) (multiplicity 2)
Cs (0.121, 0.310, 0.159) (multiplicity 16)
Rb (0.000, 0.000, 0.314) (multiplicity 4)
Rb (0.104, 0.315, 0.500) (multiplicity 8)
Na (0.000, 0.000, 0.500) (multiplicity 2)